Record 1
The following is a theoretical X-ray diffraction stick pattern of LiSiBiO4. It was derived from a GGA-PBE-relaxed structure, using λ = 1.5418 Å (Cu Kα).
Peak positions follow from Bragg's law for the DFT cell and can differ from measured ones.

The 10 most intense peaks (15° ≤ 2θ ≤ 90°), by angle:
| (hkl) | 2theta | I_rel |
| --- | --- | --- |
| 2 1 1 | 20.3 | 100.0 |
| 0 1 2 | 20.5 | 22.1 |
| 2 2 0 | 23.4 | 14.1 |
| 1 2 2 | 26.4 | 23.8 |
| 1 4 0 | 31.1 | 67.6 |
| 4 -1 2 | 31.3 | 13.6 |
| 2 -1 3 | 31.6 | 36.4 |
| 0 4 2 | 33.5 | 19.5 |
| 5 2 0 | 42.9 | 14.3 |
| 3 3 3 | 46.6 | 18.5 |

Structure:
abc: 15.2131 15.2131 9.1595
angles: 90.00 90.00 120.00
Space group R3 (No. 146, hexagonal axes)
One atom of each set of equivalent atoms:
Li (0.0479, 0.4829, 0.0000) [9 per cell]
Li (0.1697, 0.6817, 0.4731) [9 per cell]
Si (0.0123, 0.2051, 0.6359) [9 per cell]
Si (0.1345, 0.7260, 0.7971) [9 per cell]
Bi (0.0366, 0.2347, 0.0059) [9 per cell]
Bi (0.1087, 0.6847, 0.1458) [9 per cell]
O (0.0008, 0.3088, 0.6224) [9 per cell]
O (0.0270, 0.6341, 0.3964) [9 per cell]
O (0.0582, 0.8108, 0.1986) [9 per cell]
O (0.0620, 0.1947, 0.7915) [9 per cell]
O (0.0767, 0.2007, 0.4986) [9 per cell]
O (0.1861, 0.8027, 0.9395) [9 per cell]
O (0.2010, 0.1167, 0.9985) [9 per cell]
O (0.2163, 0.4413, 0.3128) [9 per cell]

***

Record 2
The following is a theoretical X-ray diffraction stick pattern of PmMg4Pt4. It was derived from a GGA-PBE-relaxed structure, using λ = 1.5418 Å (Cu Kα).
Peak positions follow from Bragg's law for the DFT cell and can differ from measured ones.

The 10 most intense peaks (15° ≤ 2θ ≤ 90°), by angle:
| (hkl) | 2theta | I_rel |
| --- | --- | --- |
| 0 0 2 | 21.6 | 31.7 |
| 1 1 2 | 28.8 | 24.5 |
| 2 0 1 | 29.0 | 100.0 |
| 2 1 1 | 32.1 | 37.0 |
| 1 0 3 | 35.4 | 23.3 |
| 2 2 0 | 38.4 | 24.5 |
| 2 0 3 | 42.7 | 29.6 |
| 2 2 2 | 44.4 | 40.9 |
| 3 1 1 | 44.5 | 18.6 |
| 3 0 3 | 53.2 | 20.6 |

Structure:
abc: 6.637 6.637 8.238
angles: 90.00 90.00 90.00
Space group P4_2/nmc (No. 137, origin choice 2)
One atom of each set of equivalent atoms:
Pm (0.250, 0.750, 0.250) [2 per cell]
Mg (0.001, 0.250, 0.135) [8 per cell]
Pt (0.039, 0.250, 0.456) [8 per cell]

***

Record 3
The following is a theoretical X-ray diffraction stick pattern of LiCeScAl. It was derived from a GGA-PBE-relaxed structure, using λ = 1.5418 Å (Cu Kα).
Peak positions follow from Bragg's law for the DFT cell and can differ from measured ones.

The 10 most intense peaks (15° ≤ 2θ ≤ 90°), by angle:
| (hkl) | 2theta | I_rel |
| --- | --- | --- |
| 1 1 1 | 21.7 | 47.0 |
| 2 0 0 | 25.1 | 62.6 |
| 2 2 0 | 35.8 | 100.0 |
| 3 1 1 | 42.3 | 25.9 |
| 2 2 2 | 44.3 | 18.0 |
| 4 0 0 | 51.6 | 17.2 |
| 3 3 1 | 56.6 | 11.4 |
| 4 2 0 | 58.2 | 23.3 |
| 4 2 2 | 64.4 | 34.7 |
| 6 2 0 | 86.9 | 15.1 |

Structure:
abc: 7.090 7.090 7.090
angles: 90.00 90.00 90.00
Space group F-43m (No. 216)
One atom of each set of equivalent atoms:
Li (0.000, 0.000, 0.000) [4 per cell]
Ce (0.250, 0.250, 0.750) [4 per cell]
Sc (0.250, 0.250, 0.250) [4 per cell]
Al (0.000, 0.000, 0.500) [4 per cell]

***

Record 4
The following is a theoretical X-ray diffraction stick pattern of Dy8Er4Zr. It was derived from a GGA-PBE-relaxed structure, using λ = 1.5418 Å (Cu Kα).
Peak positions follow from Bragg's law for the DFT cell and can differ from measured ones.

The 10 most intense peaks (15° ≤ 2θ ≤ 90°), by angle:
| (hkl) | 2theta | I_rel |
| --- | --- | --- |
| 0 2 1 | 27.9 | 66.6 |
| 2 0 1 | 29.9 | 80.6 |
| 2 0 -2 | 31.3 | 95.0 |
| 0 2 -2 | 31.5 | 100.0 |
| 0 0 3 | 33.7 | 51.9 |
| 2 -2 0 | 34.9 | 80.3 |
| 2 2 -1 | 36.3 | 39.5 |
| 2 -2 3 | 50.7 | 21.8 |
| 2 2 -4 | 53.5 | 21.9 |
| 4 -2 1 | 60.6 | 23.3 |

Structure:
abc: 7.005 7.339 8.136
angles: 95.50 99.57 91.86
Space group P-1 (No. 2)
One atom of each set of equivalent atoms:
Dy (0.159, 0.176, 0.174) [2 per cell]
Dy (0.193, 0.672, 0.164) [2 per cell]
Dy (0.300, 0.291, 0.806) [2 per cell]
Dy (0.312, 0.734, 0.770) [2 per cell]
Er (0.000, 0.000, 0.500) [1 per cell]
Er (0.000, 0.500, 0.500) [1 per cell]
Er (0.500, 0.000, 0.500) [1 per cell]
Er (0.500, 0.500, 0.500) [1 per cell]
Zr (0.500, 0.000, 0.000) [1 per cell]